(1)
Calculated powder XRD pattern
Compound: TlSnF3
Radiation: Cu Kα
Structure: the GGA-PBE geometry in the Materials Project
Lines closer than 0.1° are merged.

The 8 most intense peaks (5° ≤ 2θ ≤ 70°), most intense first:
| 2theta | I_rel |
| --- | --- |
| 26.2 | 100 |
| 28.4 | 100 |
| 26.0 | 52 |
| 27.0 | 51 |
| 37.8 | 43 |
| 48.6 | 41 |
| 44.6 | 20 |
| 40.3 | 18 |

Lattice parameters (Å, degrees): 10.227 10.227 8.661 108.03 108.03 80.38
Fractional coordinates of all 40 atoms:
Tl1 0.018 0.982 0.500
Tl2 0.111 0.647 0.795
Tl3 0.156 0.617 0.289
Tl4 0.233 0.280 0.588
Tl5 0.280 0.233 0.088
Tl6 0.617 0.156 0.789
Tl7 0.647 0.111 0.295
Tl8 0.982 0.018 0.000
Sn1 0.388 0.869 0.791
Sn2 0.391 0.911 0.318
Sn3 0.491 0.511 0.085
Sn4 0.511 0.491 0.585
Sn5 0.744 0.753 0.497
Sn6 0.753 0.744 0.997
Sn7 0.869 0.388 0.291
Sn8 0.911 0.391 0.818
F1 0.040 0.211 0.788
F2 0.077 0.364 0.300
F3 0.176 0.883 0.768
F4 0.211 0.040 0.288
F5 0.291 0.745 0.143
F6 0.295 0.441 0.960
F7 0.304 0.562 0.589
F8 0.304 0.849 0.495
F9 0.364 0.077 0.800
F10 0.402 0.953 0.072
F11 0.423 0.507 0.309
F12 0.441 0.295 0.460
F13 0.507 0.423 0.809
F14 0.562 0.304 0.089
F15 0.692 0.949 0.992
F16 0.740 0.827 0.267
F17 0.745 0.291 0.643
F18 0.802 0.954 0.613
F19 0.827 0.740 0.767
F20 0.849 0.304 0.995
F21 0.883 0.176 0.268
F22 0.949 0.692 0.492
F23 0.953 0.402 0.572
F24 0.954 0.802 0.113

***

(2)
Calculated powder XRD pattern
Compound: CeMg2Ni
Radiation: Cu Kα
Structure: the GGA-PBE geometry in the Materials Project
Lines closer than 0.1° are merged.

The 8 most intense peaks (5° ≤ 2θ ≤ 70°), most intense first:
| 2theta | I_rel |
| --- | --- |
| 37.0 | 100 |
| 22.4 | 53 |
| 66.6 | 34 |
| 43.7 | 28 |
| 53.3 | 17 |
| 58.5 | 12 |
| 25.9 | 10 |
| 60.2 | 4 |

Lattice parameters (Å, degrees): 6.877 6.877 6.877 90.00 90.00 90.00
Fractional coordinates of all 16 atoms:
Ce1 0.000 0.000 0.000
Ce2 0.000 0.500 0.500
Ce3 0.500 0.000 0.500
Ce4 0.500 0.500 0.000
Mg1 0.000 0.000 0.500
Mg2 0.000 0.500 0.000
Mg3 0.250 0.250 0.750
Mg4 0.250 0.750 0.250
Mg5 0.500 0.000 0.000
Mg6 0.500 0.500 0.500
Mg7 0.750 0.250 0.250
Mg8 0.750 0.750 0.750
Ni1 0.250 0.250 0.250
Ni2 0.250 0.750 0.750
Ni3 0.750 0.250 0.750
Ni4 0.750 0.750 0.250